Theoretical PXRD pattern of Ho5Tm2 for Cu Kα (λ = 1.5418 Å), from a cell relaxed with GGA-PBE.

```
Ho5Tm2
1.0
2.7933 1.6127 8.0297
-2.7933 1.6127 8.0297
0.0000 -3.2254 8.0297
Ho Tm
5 2
Direct
0.0000 0.0000 0.0000
0.2852 0.2852 0.2852
0.4289 0.4289 0.4289
0.5711 0.5711 0.5711
0.7148 0.7148 0.7148
0.1432 0.1432 0.1432
0.8568 0.8568 0.8568
```

The 9 most intense peaks (2θ from 10° to 80°), sorted by position:
31.91 deg, I 100.0
32.04 deg, I 99.0
45.85 deg, I 36.9
56.79 deg, I 19.6
57.06 deg, I 58.1
66.71 deg, I 12.1
67.01 deg, I 12.0
75.93 deg, I 16.7
76.14 deg, I 16.6

=====

Theoretical PXRD pattern of CsTb3Se4 for Cu Kα (λ = 1.5418 Å), from a cell relaxed with GGA-PBE.

```
CsTb3Se4
1.0
4.1866 0.0000 0.0000
-2.0933 3.6257 0.0000
0.0000 0.0000 29.9788
Cs Tb Se
2 6 8
Direct
0.3333 0.6667 0.2500
0.6667 0.3333 0.7500
0.0000 0.0000 0.0000
0.0000 0.0000 0.5000
0.3333 0.6667 0.6096
0.3333 0.6667 0.8904
0.6667 0.3333 0.1096
0.6667 0.3333 0.3904
0.0000 0.0000 0.1621
0.0000 0.0000 0.3379
0.0000 0.0000 0.6621
0.0000 0.0000 0.8379
0.3333 0.6667 0.0547
0.3333 0.6667 0.4453
0.6667 0.3333 0.5547
0.6667 0.3333 0.9453
```

The 10 most intense peaks (2θ from 10° to 80°), sorted by position:
26.15 deg, I 31.6
28.77 deg, I 50.0
30.46 deg, I 100.0
32.35 deg, I 21.3
41.45 deg, I 35.4
43.22 deg, I 63.8
44.02 deg, I 17.5
53.79 deg, I 20.0
71.37 deg, I 17.1
72.53 deg, I 13.4

=====

Theoretical PXRD pattern of NdSi3Pd9 for Cu Kα (λ = 1.5418 Å), from a cell relaxed with GGA-PBE.

```
NdSi3Pd9
1.0
2.6094 -6.5635 0.0000
2.6094 6.5635 0.0000
-2.0056 0.0000 6.0720
Nd Si Pd
1 3 9
Direct
0.0000 0.0000 0.0000
0.0000 0.5000 0.0000
0.5000 0.0000 0.0000
0.5000 0.5000 0.5000
0.0000 0.0000 0.5000
0.0664 0.7008 0.6826
0.2992 0.9336 0.3174
0.3138 0.5345 0.7738
0.4655 0.6862 0.2262
0.5345 0.3138 0.7738
0.6862 0.4655 0.2262
0.7008 0.0664 0.6826
0.9336 0.2992 0.3174
```

The 10 most intense peaks (2θ from 10° to 80°), sorted by position:
32.49 deg, I 21.4
33.64 deg, I 23.9
34.54 deg, I 40.0
35.89 deg, I 33.4
38.82 deg, I 100.0
39.99 deg, I 32.3
40.48 deg, I 58.4
41.50 deg, I 28.4
43.56 deg, I 24.5
64.27 deg, I 20.9

=====

Theoretical PXRD pattern of Sm2PaP3 for Cu Kα (λ = 1.5418 Å), from a cell relaxed with GGA-PBE.

```
Sm2PaP3
1.0
4.0573 0.0000 0.0000
0.0000 5.7141 0.0000
0.0000 0.0000 12.1630
Sm Pa P
4 2 6
Direct
0.0000 0.0000 0.1685
0.0000 0.0000 0.8315
0.5000 0.5000 0.3315
0.5000 0.5000 0.6685
0.0000 0.0000 0.5000
0.5000 0.5000 0.0000
0.0000 0.5000 0.1581
0.0000 0.5000 0.5000
0.0000 0.5000 0.8419
0.5000 0.0000 0.0000
0.5000 0.0000 0.3419
0.5000 0.0000 0.6581
```

The 10 most intense peaks (2θ from 10° to 80°), sorted by position:
26.96 deg, I 100.0
31.19 deg, I 71.5
31.31 deg, I 35.5
44.69 deg, I 26.3
44.78 deg, I 52.5
52.97 deg, I 33.3
53.12 deg, I 16.4
55.57 deg, I 27.7
71.88 deg, I 13.5
73.89 deg, I 12.1

=====

Theoretical PXRD pattern of AcAlGa2Au for Cu Kα (λ = 1.5418 Å), from a cell relaxed with GGA-PBE.

```
AcAlGa2Au
1.0
4.4520 0.0000 0.0000
0.0000 4.4948 0.0000
0.0000 0.0000 10.9920
Ac Al Ga Au
2 2 4 2
Direct
0.0000 0.0000 0.0000
0.5000 0.5000 0.5000
0.0000 0.5000 0.7434
0.5000 0.0000 0.2434
0.0000 0.0000 0.6008
0.0000 0.5000 0.2404
0.5000 0.0000 0.7404
0.5000 0.5000 0.1008
0.0000 0.0000 0.3637
0.5000 0.5000 0.8637
```

The 10 most intense peaks (2θ from 10° to 80°), sorted by position:
28.21 deg, I 92.0
31.50 deg, I 83.9
31.63 deg, I 72.6
32.66 deg, I 100.0
40.12 deg, I 42.0
40.53 deg, I 40.8
46.00 deg, I 65.3
51.96 deg, I 37.0
52.21 deg, I 41.7
58.35 deg, I 28.2

=====

Theoretical PXRD pattern of Ge2Se for Cu Kα (λ = 1.5418 Å), from a cell relaxed with GGA-PBE.

```
Ge2Se
1.0
7.3107 0.0000 0.0000
0.0000 4.1292 0.0000
-2.5731 0.0000 5.0648
Ge Se
4 2
Direct
0.1377 0.0000 0.4222
0.3623 0.5000 0.5778
0.6377 0.5000 0.4222
0.8623 0.0000 0.5778
0.0000 0.7182 0.0000
0.5000 0.2182 0.0000
```

The 10 most intense peaks (2θ from 10° to 80°), sorted by position:
24.91 deg, I 100.0
25.54 deg, I 82.5
27.31 deg, I 54.2
34.58 deg, I 88.3
35.45 deg, I 36.4
43.11 deg, I 37.8
46.46 deg, I 36.7
47.28 deg, I 32.0
47.56 deg, I 50.7
56.32 deg, I 39.6

=====

Theoretical PXRD pattern of CaNd6Dy8 for Cu Kα (λ = 1.5418 Å), from a cell relaxed with GGA-PBE.

```
CaNd6Dy8
1.0
9.9423 0.0000 0.0000
-4.9712 8.6103 0.0000
0.0000 0.0000 6.2101
Ca Nd Dy
1 6 8
Direct
0.0000 0.0000 0.0000
0.1339 0.6907 0.0573
0.3093 0.4432 0.0573
0.4432 0.1339 0.9427
0.5568 0.8661 0.0573
0.6907 0.5568 0.9427
0.8661 0.3093 0.9427
0.0203 0.3383 0.4342
0.3180 0.9797 0.4342
0.3333 0.6667 0.5784
0.3383 0.3180 0.5658
0.6617 0.6820 0.4342
0.6667 0.3333 0.4216
0.6820 0.0203 0.5658
0.9797 0.6617 0.5658
```

The 10 most intense peaks (2θ from 10° to 80°), sorted by position:
10.27 deg, I 36.8
27.41 deg, I 18.3
28.75 deg, I 33.9
31.02 deg, I 100.0
31.16 deg, I 48.8
34.04 deg, I 45.2
34.42 deg, I 77.9
42.91 deg, I 17.6
50.77 deg, I 20.1
57.57 deg, I 22.9

=====

Theoretical PXRD pattern of ReSi2Ag for Cu Kα (λ = 1.5418 Å), from a cell relaxed with GGA-PBE.

```
ReSi2Ag
1.0
2.7155 0.0000 0.0000
0.0000 4.0145 0.0000
0.0000 0.0000 12.3547
Re Si Ag
2 4 2
Direct
0.0000 0.0000 0.0000
0.5000 0.5000 0.5000
0.0000 0.0000 0.4657
0.0000 0.5000 0.6752
0.5000 0.0000 0.1752
0.5000 0.5000 0.9657
0.0000 0.5000 0.2811
0.5000 0.0000 0.7811
```

The 10 most intense peaks (2θ from 10° to 80°), sorted by position:
14.34 deg, I 29.8
23.30 deg, I 95.1
28.91 deg, I 50.4
31.11 deg, I 17.8
33.80 deg, I 20.1
39.76 deg, I 38.7
42.79 deg, I 100.0
42.98 deg, I 38.0
45.17 deg, I 24.3
61.73 deg, I 21.0

=====

Please write out number 6 again, unchanged.
Theoretical PXRD pattern of Ge2Se for Cu Kα (λ = 1.5418 Å), from a cell relaxed with GGA-PBE.

```
Ge2Se
1.0
7.3107 0.0000 0.0000
0.0000 4.1292 0.0000
-2.5731 0.0000 5.0648
Ge Se
4 2
Direct
0.1377 0.0000 0.4222
0.3623 0.5000 0.5778
0.6377 0.5000 0.4222
0.8623 0.0000 0.5778
0.0000 0.7182 0.0000
0.5000 0.2182 0.0000
```

The 10 most intense peaks (2θ from 10° to 80°), sorted by position:
24.91 deg, I 100.0
25.54 deg, I 82.5
27.31 deg, I 54.2
34.58 deg, I 88.3
35.45 deg, I 36.4
43.11 deg, I 37.8
46.46 deg, I 36.7
47.28 deg, I 32.0
47.56 deg, I 50.7
56.32 deg, I 39.6